Diffraction record for Li5CuP2O8. The powder diffraction line list is calculated, not measured: it uses a structure optimized by DFT (GGA-PBE) and Cu Ka.

Largest 6 diffraction maxima, by angle, 10° ≤ 2θ ≤ 90°:
| 2θ/deg | d (Å) | I/Imax | index |
| --- | --- | --- | --- |
| 18.73 | 4.738 | 65.3 | 1 0 1 |
| 21.93 | 4.052 | 72.0 | 1 1 0 |
| 22.94 | 3.876 | 82.8 | 0 1 2 |
| 33.54 | 2.672 | 100.0 | 1 2 0 |
| 35.99 | 2.495 | 63.2 | 0 0 4 |
| 38.20 | 2.356 | 64.1 | 1 2 -2 |

Structural model:
```
data_Li5CuP2O8
_space_group_name_H-M_alt 'P 1 m 1'
_space_group_IT_number 6
_cell_length_a 5.384
_cell_length_b 6.155
_cell_length_c 9.981
_cell_angle_alpha 90.00
_cell_angle_beta 90.10
_cell_angle_gamma 90.00
loop_
_space_group_symop_operation_xyz
'x,y,z'
'x,-y,z'
loop_
_atom_site_label
_atom_site_fract_x
_atom_site_fract_y
_atom_site_fract_z
Li1 0.000 0.000 0.000
Li2 0.001 0.000 0.495
Li3 0.304 0.500 0.750
Li4 0.311 0.500 0.248
Li5 0.478 0.252 0.001
Li6 0.482 0.254 0.496
Li7 0.827 0.245 0.248
Cu1 0.813 0.246 0.758
P1 0.328 0.000 0.749
P2 0.330 0.000 0.252
P3 0.981 0.500 0.010
P4 0.984 0.500 0.495
O1 0.055 0.000 0.202
O2 0.058 0.000 0.692
O3 0.251 0.500 0.955
O4 0.257 0.500 0.443
O5 0.328 0.000 0.905
O6 0.336 0.000 0.408
O7 0.456 0.210 0.695
O8 0.466 0.207 0.199
O9 0.839 0.291 0.964
O10 0.843 0.293 0.445
O11 0.982 0.500 0.166
O12 0.992 0.500 0.651
```